Theoretical powder XRD pattern
Compound: Ho5ErSc2
Radiation: Cu Kα X-rays
Structure: DFT lattice parameters and positions (PBE)

Main lines, low angle first (2θ = 15–90°):
d/Å  2theta  intensity  h k l
5.484  16.2  6  0 2 0
4.081  21.8  7  0 2 2
3.056  29.2  27  0 0 4
2.742  32.7  24  0 4 0
2.670  33.6  100  2 2 2
2.041  44.4  17  0 4 4
1.765  51.8  21  4 0 0
1.569  58.9  20  2 6 2
1.484  62.6  22  4 4 0
1.472  63.2  16  0 2 8
1.172  82.2  8  0 6 8
1.131  86.0  9  4 2 8

Atomic structure:
```
data_Ho5ErSc2
_chemical_formula_sum 'Ho20 Er4 Sc8'
_space_group_name_H-M_alt 'F m m 2'
_space_group_IT_number 42
_space_group_name_Hall 'F 2 -2'
_cell_length_a 7.0623
_cell_length_b 10.9672
_cell_length_c 12.2168
_cell_angle_alpha 90.00
_cell_angle_beta 90.00
_cell_angle_gamma 90.00
loop_
_atom_site_label
_atom_site_type_symbol
_atom_site_fract_x
_atom_site_fract_y
_atom_site_fract_z
_atom_site_occupancy
Ho1 Ho 0.0000 0.0000 0.0000 1
Ho2 Ho 0.2501 0.0000 0.2465 1
Ho3 Ho 0.2500 0.2500 0.4158 1
Er1 Er 0.0000 0.0000 0.4998 1
Sc1 Sc 0.0000 0.2502 0.1640 1
```